Simulated powder X-ray diffraction pattern of Cd2Hg2HS2O10 for CuKα, from a cell relaxed with PBE.

Crystal structure
```
Cd2Hg2HS2O10
1.0
7.8739 0.0000 0.0000
0.0000 6.3464 0.0000
-5.4668 0.0000 10.3520
Cd Hg H S O
4 4 2 4 20
direct
0.2460 0.0008 0.4202 Cd
0.2460 0.9992 0.9202 Cd
0.7540 0.0008 0.0798 Cd
0.7540 0.9992 0.5798 Cd
0.5000 0.2179 0.2500 Hg
0.5000 0.5000 0.0000 Hg
0.5000 0.5000 0.5000 Hg
0.5000 0.7821 0.7500 Hg
0.0000 0.2254 0.2500 H
0.0000 0.7746 0.7500 H
0.1682 0.2802 0.6454 S
0.1682 0.7198 0.1454 S
0.8318 0.2802 0.8546 S
0.8318 0.7198 0.3546 S
0.0436 0.2491 0.9176 O
0.0436 0.7509 0.4176 O
0.2230 0.4869 0.7095 O
0.2230 0.5131 0.2095 O
0.2359 0.2645 0.5446 O
0.2359 0.7355 0.0446 O
0.2647 0.1039 0.7414 O
0.2647 0.8961 0.2414 O
0.4948 0.2022 0.0692 O
0.4948 0.7978 0.5692 O
0.5052 0.2022 0.4308 O
0.5052 0.7978 0.9308 O
0.7353 0.1039 0.7586 O
0.7353 0.8961 0.2586 O
0.7641 0.2645 0.9554 O
0.7641 0.7355 0.4554 O
0.7770 0.4869 0.7905 O
0.7770 0.5131 0.2905 O
0.9564 0.2491 0.5824 O
0.9564 0.7509 0.0824 O
```

Largest 6 diffraction maxima, by intensity, 2θ = 10–90°:
two_theta  I/Imax
12.7  100
32.4  71
29.5  66
30.7  51
23.2  44
27.2  44

Simulated powder X-ray diffraction pattern of Cd2Hg2HSe2O10 for CuKα, from a cell relaxed with PBE.

Crystal structure
```
Cd2Hg2HSe2O10
1.0
8.1263 0.0000 0.0000
0.0000 6.4530 0.0000
-5.5289 0.0000 10.5173
Cd Hg H Se O
4 4 2 4 20
direct
0.2437 0.0043 0.0784 Cd
0.2437 0.9957 0.5784 Cd
0.7563 0.0043 0.4216 Cd
0.7563 0.9957 0.9216 Cd
0.0000 0.2195 0.2500 Hg
0.0000 0.5000 0.0000 Hg
0.0000 0.5000 0.5000 Hg
0.0000 0.7805 0.7500 Hg
0.5000 0.2026 0.2500 H
0.5000 0.7974 0.7500 H
0.3338 0.2880 0.8552 Se
0.3338 0.7120 0.3552 Se
0.6662 0.2880 0.6448 Se
0.6662 0.7120 0.1448 Se
0.0087 0.2053 0.4314 O
0.0087 0.7947 0.9314 O
0.2189 0.0949 0.7511 O
0.2189 0.9051 0.2511 O
0.2655 0.2759 0.9696 O
0.2655 0.7241 0.4696 O
0.2728 0.4842 0.2828 O
0.2728 0.5158 0.7828 O
0.4369 0.2478 0.5795 O
0.4369 0.7522 0.0795 O
0.5631 0.2478 0.9205 O
0.5631 0.7522 0.4205 O
0.7272 0.4842 0.2172 O
0.7272 0.5158 0.7172 O
0.7345 0.2759 0.5304 O
0.7345 0.7241 0.0304 O
0.7811 0.0949 0.7489 O
0.7811 0.9051 0.2489 O
0.9913 0.2053 0.0686 O
0.9913 0.7947 0.5686 O
```

Largest 6 diffraction maxima, by intensity, 2θ = 10–90°:
two_theta  I/Imax
12.3  100
31.9  96
22.6  79
30.3  73
28.8  64
26.5  50

Simulated powder X-ray diffraction pattern of RbCdH2I3O for CuKα, from a cell relaxed with PBE.

Crystal structure
```
RbCdH2I3O
1.0
5.5473 -5.1216 0.0000
5.5473 5.1216 0.0000
-0.0789 0.0000 8.9866
Rb Cd H I O
2 2 4 6 2
direct
0.1105 0.8895 0.5000 Rb
0.8895 0.1105 0.0000 Rb
0.3635 0.4311 0.8260 Cd
0.4311 0.3635 0.3260 Cd
0.1283 0.7451 0.1468 H
0.2680 0.8852 0.1480 H
0.7451 0.1283 0.6468 H
0.8852 0.2680 0.6480 H
0.0187 0.5948 0.8315 I
0.0597 0.3885 0.3318 I
0.3885 0.0597 0.8318 I
0.5514 0.5656 0.5773 I
0.5656 0.5514 0.0773 I
0.5948 0.0187 0.3315 I
0.1437 0.8684 0.1743 O
0.8684 0.1437 0.6743 O
```

Largest 6 diffraction maxima, by intensity, 2θ = 10–90°:
two_theta  I/Imax
25.6  100
27.4  89
25.4  76
23.6  73
11.8  69
23.1  38